(1)
For CsSrS2O8, a crystal structure in Alexandria, relaxed with GGA-PBE gives the theoretical powder diffraction line list in this record (λ = 1.5418 Å (Cu Kα)).
No peak broadening, texture or thermal motion is included.

Structure:
abc: 5.6628 5.6628 8.9419
angles: 90.00 90.00 120.00
Element x y z (fractional)
Cs1 0.0000 0.0000 0.0000
Sr1 0.0000 0.0000 0.5000
S1 0.3333 0.6667 0.7342
S2 0.6667 0.3333 0.2658
O1 0.1479 0.3853 0.6789
O2 0.2374 0.8521 0.6789
O3 0.3333 0.6667 0.9000
O4 0.3853 0.2374 0.3211
O5 0.6147 0.7626 0.6789
O6 0.6667 0.3333 0.1000
O7 0.7626 0.1479 0.3211
O8 0.8521 0.6147 0.3211

Main lines, most intense first (5 to 70 degrees two-theta):
hkl  2θ/deg  I/Imax
0 1 2  27.0  1000
1 0 0  18.1  550
1 0 1  20.7  466
1 1 0  31.6  452
0 2 2  42.0  367
2 1 2  53.5  235
2 -1 2  37.6  224
1 0 4  44.5  187
0 1 6  65.4  186
1 1 4  52.1  172

(2)
For SrLi3Hg3, a crystal structure in Alexandria, relaxed with GGA-PBE gives the theoretical powder diffraction line list in this record (λ = 1.5418 Å (Cu Kα)).
No peak broadening, texture or thermal motion is included.

Structure:
abc: 7.2555 7.2555 7.2555
angles: 90.00 90.00 90.00
Element x y z (fractional)
Sr1 0.0000 0.0000 0.0000
Sr2 0.5000 0.5000 0.5000
Li1 0.0000 0.2500 0.5000
Li2 0.0000 0.7500 0.5000
Li3 0.2500 0.5000 0.0000
Li4 0.5000 0.0000 0.2500
Li5 0.5000 0.0000 0.7500
Li6 0.7500 0.5000 0.0000
Hg1 0.0000 0.5000 0.2500
Hg2 0.0000 0.5000 0.7500
Hg3 0.2500 0.0000 0.5000
Hg4 0.5000 0.2500 0.0000
Hg5 0.5000 0.7500 0.0000
Hg6 0.7500 0.0000 0.5000

Main lines, most intense first (5 to 70 degrees two-theta):
hkl  2θ/deg  I/Imax
2 1 0  27.5  1000
2 1 1  30.2  452
3 2 1  46.9  271
3 2 0  45.1  271
4 2 1  58.3  255
5 2 0  69.8  226
2 0 0  24.5  189
2 2 2  43.2  187
4 0 0  50.3  160
1 1 0  17.3  129